For HoTm2Cu2, a cell relaxed with PBE gives the simulated powder XRD pattern in this record (Cu Kα, 1.54184 Å).

Cell and atoms:
```
data_HoTm2Cu2
_symmetry_space_group_name_H-M 'P 1 21/m 1'
_symmetry_Int_Tables_number 11
_cell_length_a 3.4523
_cell_length_b 5.0107
_cell_length_c 12.9387
_cell_angle_alpha 90.00
_cell_angle_beta 97.64
_cell_angle_gamma 90.00
loop_
_symmetry_equiv_pos_as_xyz
'x,y,z'
'-x,-y,-z'
'-x,y+1/2,-z'
'x,-y+1/2,z'
loop_
_atom_site_label
_atom_site_type_symbol
_atom_site_fract_x
_atom_site_fract_y
_atom_site_fract_z
Ho1 Ho 0.1427 0.2500 0.2829
Tm1 Tm 0.0471 0.7500 0.0931
Tm2 Tm 0.2302 0.7500 0.4594
Cu1 Cu 0.3584 0.2500 0.7200
Cu2 Cu 0.4535 0.7500 0.9090
```

Peak list (12 most intense, 10 to 80 degrees two-theta, sorted by position)
| two_theta | intensity |
| --- | --- |
| 26.0 | 10 |
| 27.4 | 24 |
| 35.0 | 18 |
| 35.8 | 29 |
| 36.1 | 100 |
| 47.0 | 8 |
| 51.0 | 12 |
| 53.1 | 10 |
| 64.6 | 18 |
| 65.7 | 10 |
| 70.7 | 8 |
| 76.6 | 7 |